1.
Diffraction record for Mo2Pt3Rh3. The X-ray powder pattern is computed, not measured: it uses a cell relaxed with PBE and Cu Kα.
Lines closer than 0.1° are merged.

Unit cell a=7.3330 b=7.3330 c=7.9523 alpha=90.00 beta=90.00 gamma=120.00
Space group R32 (No. 155, hexagonal axes)
One atom of each set of equivalent atoms:
Mo 0.0000 0.0000 0.2400
Pt 0.0000 0.7287 0.5000
Rh 0.0000 0.2906 0.0000

Most intense lines, 10 to 90 degrees two-theta, in order of rising 2θ:
two_theta	intensity	(hkl)
24.28	28	1 1 0
36.20	33	2 0 2
39.20	53	2 1 1
42.06	100	1 1 3
42.71	63	3 0 0
44.07	32	1 2 2
65.09	18	3 2 1
68.60	17	2 3 2
76.84	15	4 0 4
86.13	15	5 1 1



2.
Diffraction record for Mo5Pt4Rh2. The X-ray powder pattern is computed, not measured: it uses a cell relaxed with PBE and Cu Kα.
Lines closer than 0.1° are merged.

Unit cell a=7.0732 b=17.3657 c=2.7626 alpha=90.00 beta=90.00 gamma=90.00
Space group Pbam (No. 55)
One atom of each set of equivalent atoms:
Mo 0.0000 0.0000 0.0000
Mo 0.1293 0.4403 0.0000
Mo 0.2399 0.2136 0.0000
Pt 0.0719 0.8530 0.5000
Pt 0.2182 0.5758 0.5000
Rh 0.0488 0.3115 0.5000

Most intense lines, 10 to 90 degrees two-theta, in order of rising 2θ:
two_theta	intensity	(hkl)
38.48	61	1 7 0
38.63	41	0 4 1
39.61	69	3 2 0
40.26	48	2 6 0
40.76	100	1 4 1
42.82	58	2 2 1
43.62	23	1 8 0
44.46	26	2 3 1
52.07	25	3 2 1
67.84	21	0 0 2



3.
Diffraction record for MoPt2Rh2. The X-ray powder pattern is computed, not measured: it uses a cell relaxed with PBE and Cu Kα.
Lines closer than 0.1° are merged.

Unit cell a=8.7388 b=3.8954 c=6.1878 alpha=90.00 beta=134.67 gamma=90.00
Space group C2/m (No. 12)
One atom of each set of equivalent atoms:
Mo 0.0000 0.0000 0.0000
Pt 0.2034 0.0000 0.6026
Rh 0.1064 0.5000 0.8113

Most intense lines, 10 to 90 degrees two-theta, in order of rising 2θ:
two_theta	intensity	(hkl)
27.05	13	1 1 -1
39.86	96	1 1 -2
39.95	100	3 1 -1
46.11	31	2 0 1
46.49	31	4 0 -3
46.63	31	0 2 0
67.67	30	2 2 1
67.96	20	4 2 -3
81.63	12	5 1 -5
81.93	24	3 3 -1